Tl3AsBr6: computed X-ray powder pattern (a wavelength of 1.5418 Å), based on a crystal structure in Alexandria, relaxed with PBE.

Atomic structure:
```
data_Tl3AsBr6
_chemical_formula_sum 'Tl6 As2 Br12'
_symmetry_space_group_name_H-M 'P 1 21/c 1'
_symmetry_Int_Tables_number 14
_symmetry_space_group_name_Hall '-P 2ybc'
_cell_length_a 7.6246
_cell_length_b 8.3994
_cell_length_c 13.4379
_cell_angle_alpha 90.00
_cell_angle_beta 123.33
_cell_angle_gamma 90.00
loop_
_atom_site_label
_atom_site_type_symbol
_atom_site_fract_x
_atom_site_fract_y
_atom_site_fract_z
Tl1 Tl 0.0000 0.0000 0.0000
Tl2 Tl 0.2117 0.0813 0.7463
As1 As 0.5000 0.0000 0.5000
Br1 Br 0.1626 0.1676 0.4521
Br2 Br 0.2748 0.7282 0.4337
Br3 Br 0.3953 0.0448 0.2760
```

The 10 most intense peaks (2θ = 15–90°), low angle first:
(1 1 1), 2θ = 22.16°, I = 90; (1 1 -3), 2θ = 22.53°, I = 100; (2 1 -3), 2θ = 27.04°, I = 59; (1 1 -4), 2θ = 28.85°, I = 51; (2 2 -2), 2θ = 31.70°, I = 61; (0 0 4), 2θ = 31.88°, I = 57; (1 3 0), 2θ = 34.98°, I = 68; (3 1 -1), 2θ = 40.10°, I = 51; (2 0 -6), 2θ = 40.29°, I = 34; (3 1 -5), 2θ = 40.73°, I = 34

***

PmHf2ScN4: computed X-ray powder pattern (a wavelength of 1.5418 Å), based on a crystal structure in Alexandria, relaxed with PBE.

Atomic structure:
```
data_PmHf2ScN4
_chemical_formula_sum 'Pm4 Hf8 Sc4 N16'
_symmetry_space_group_name_H-M 'I m m a'
_symmetry_Int_Tables_number 74
_symmetry_space_group_name_Hall '-I 2b 2'
_cell_length_a 6.5719
_cell_length_b 6.6524
_cell_length_c 9.3539
_cell_angle_alpha 90.00
_cell_angle_beta 90.00
_cell_angle_gamma 90.00
loop_
_atom_site_label
_atom_site_type_symbol
_atom_site_fract_x
_atom_site_fract_y
_atom_site_fract_z
Pm1 Pm 0.2500 0.2500 0.2500
Hf1 Hf 0.0000 0.0000 0.0000
Hf2 Hf 0.2500 0.2500 0.7500
Sc1 Sc 0.0000 0.0000 0.5000
N1 N 0.0000 0.0241 0.7541
N2 N 0.2434 0.2500 0.9884
```

The 10 most intense peaks (2θ = 15–90°), low angle first:
(1 0 1), 2θ = 16.48°, I = 26; (1 2 1), 2θ = 31.63°, I = 11; (0 2 2), 2θ = 33.05°, I = 68; (2 0 2), 2θ = 33.32°, I = 67; (2 2 0), 2θ = 38.51°, I = 100; (0 4 0), 2θ = 55.23°, I = 11; (2 2 4), 2θ = 55.59°, I = 44; (2 4 2), 2θ = 66.06°, I = 20; (4 2 2), 2θ = 66.55°, I = 19; (0 4 4), 2θ = 69.34°, I = 11

***

Dy7Tm3Th: computed X-ray powder pattern (a wavelength of 1.5418 Å), based on a crystal structure in Alexandria, relaxed with PBE.

Atomic structure:
```
data_Dy7Tm3Th
_chemical_formula_sum 'Dy28 Tm12 Th4'
_symmetry_space_group_name_H-M 'C m c m'
_symmetry_Int_Tables_number 63
_symmetry_space_group_name_Hall '-C 2c 2'
_cell_length_a 16.8396
_cell_length_b 10.6561
_cell_length_c 8.0716
_cell_angle_alpha 90.00
_cell_angle_beta 90.00
_cell_angle_gamma 90.00
loop_
_atom_site_label
_atom_site_type_symbol
_atom_site_fract_x
_atom_site_fract_y
_atom_site_fract_z
Dy1 Dy 0.0000 0.2498 0.2500
Dy2 Dy 0.1455 0.2471 0.5562
Dy3 Dy 0.1630 0.4570 0.2500
Tm1 Tm 0.0000 0.5000 0.0000
Tm2 Tm 0.1637 0.0489 0.2500
Th1 Th 0.0000 0.0000 0.0000
```

The 10 most intense peaks (2θ = 15–90°), low angle first:
(2 2 2), 2θ = 29.73°, I = 73; (6 0 0), 2θ = 31.84°, I = 100; (0 4 0), 2θ = 33.64°, I = 32; (1 1 3), 2θ = 34.80°, I = 20; (4 2 2), 2θ = 35.11°, I = 90; (6 4 0), 2θ = 47.02°, I = 24; (6 0 4), 2θ = 56.16°, I = 17; (3 5 3), 2θ = 57.56°, I = 15; (10 2 2), 2θ = 62.23°, I = 21; (3 3 5), 2θ = 65.67°, I = 14

***

UB2H6: computed X-ray powder pattern (a wavelength of 1.5418 Å), based on a crystal structure in Alexandria, relaxed with PBE.

Atomic structure:
```
data_UB2H6
_chemical_formula_sum 'U4 B8 H24'
_symmetry_space_group_name_H-M 'C 1 2/c 1'
_symmetry_Int_Tables_number 15
_symmetry_space_group_name_Hall '-C 2yc'
_cell_length_a 9.5068
_cell_length_b 5.8542
_cell_length_c 6.6799
_cell_angle_alpha 90.00
_cell_angle_beta 134.55
_cell_angle_gamma 90.00
loop_
_atom_site_label
_atom_site_type_symbol
_atom_site_fract_x
_atom_site_fract_y
_atom_site_fract_z
U1 U 0.0000 0.2496 0.2500
B1 B 0.2500 0.0235 0.2012
H1 H 0.0953 0.1160 0.9869
H2 H 0.0950 0.3848 0.7039
H3 H 0.2501 0.0064 0.3869
```

The 10 most intense peaks (2θ = 15–90°), low angle first:
(1 1 -1), 2θ = 20.17°, I = 100; (2 0 0), 2θ = 26.31°, I = 23; (2 0 -2), 2θ = 26.69°, I = 23; (0 2 0), 2θ = 30.54°, I = 16; (1 1 1), 2θ = 33.37°, I = 61; (0 0 2), 2θ = 37.83°, I = 24; (2 2 0), 2θ = 40.74°, I = 21; (2 2 -2), 2θ = 41.00°, I = 19; (0 2 2), 2θ = 49.37°, I = 19; (5 1 -3), 2θ = 51.54°, I = 18

***

ZrBiS: computed X-ray powder pattern (a wavelength of 1.5418 Å), based on a crystal structure in Alexandria, relaxed with PBE.

Atomic structure:
```
data_ZrBiS
_chemical_formula_sum 'Zr1 Bi1 S1'
_symmetry_space_group_name_H-M 'P 3 m 1'
_symmetry_Int_Tables_number 156
_symmetry_space_group_name_Hall 'P 3 -2"'
_cell_length_a 3.5976
_cell_length_b 3.5976
_cell_length_c 7.2661
_cell_angle_alpha 90.00
_cell_angle_beta 90.00
_cell_angle_gamma 120.00
loop_
_atom_site_label
_atom_site_type_symbol
_atom_site_fract_x
_atom_site_fract_y
_atom_site_fract_z
Zr1 Zr 0.0000 0.0000 0.0000
Bi1 Bi 0.3333 0.6667 0.6685
S1 S 0.6667 0.3333 0.1978
```

The 10 most intense peaks (2θ = 15–90°), low angle first:
(0 0 2), 2θ = 24.50°, I = 18; (1 0 0), 2θ = 28.65°, I = 21; (1 0 1), 2θ = 31.24°, I = 100; (0 1 2), 2θ = 38.05°, I = 51; (1 0 3), 2θ = 47.55°, I = 19; (1 1 0), 2θ = 50.75°, I = 21; (1 0 4), 2θ = 58.85°, I = 14; (0 2 1), 2θ = 60.81°, I = 15; (1 1 3), 2θ = 64.53°, I = 14; (2 1 1), 2θ = 83.09°, I = 13

***

What did the fourth record say?
UB2H6: computed X-ray powder pattern (a wavelength of 1.5418 Å), based on a crystal structure in Alexandria, relaxed with PBE.

Atomic structure:
```
data_UB2H6
_chemical_formula_sum 'U4 B8 H24'
_symmetry_space_group_name_H-M 'C 1 2/c 1'
_symmetry_Int_Tables_number 15
_symmetry_space_group_name_Hall '-C 2yc'
_cell_length_a 9.5068
_cell_length_b 5.8542
_cell_length_c 6.6799
_cell_angle_alpha 90.00
_cell_angle_beta 134.55
_cell_angle_gamma 90.00
loop_
_atom_site_label
_atom_site_type_symbol
_atom_site_fract_x
_atom_site_fract_y
_atom_site_fract_z
U1 U 0.0000 0.2496 0.2500
B1 B 0.2500 0.0235 0.2012
H1 H 0.0953 0.1160 0.9869
H2 H 0.0950 0.3848 0.7039
H3 H 0.2501 0.0064 0.3869
```

The 10 most intense peaks (2θ = 15–90°), low angle first:
(1 1 -1), 2θ = 20.17°, I = 100; (2 0 0), 2θ = 26.31°, I = 23; (2 0 -2), 2θ = 26.69°, I = 23; (0 2 0), 2θ = 30.54°, I = 16; (1 1 1), 2θ = 33.37°, I = 61; (0 0 2), 2θ = 37.83°, I = 24; (2 2 0), 2θ = 40.74°, I = 21; (2 2 -2), 2θ = 41.00°, I = 19; (0 2 2), 2θ = 49.37°, I = 19; (5 1 -3), 2θ = 51.54°, I = 18